[1]
For Rb2SrAcF6, a DFT-relaxed cell (GGA-PBE, Alexandria) gives the theoretical PXRD pattern in this record (λ = 1.5418 Å (Cu Kα)).
Peak positions follow from Bragg's law for the DFT cell and can differ from measured ones.

The 10 most intense peaks (2θ = 10–80°), most intense first:
25.6°, I = 1000; 45.1°, I = 445; 36.5°, I = 368; 52.5°, I = 246; 71.6°, I = 234; 59.3°, I = 201; 15.6°, I = 182; 18.0°, I = 180; 30.1°, I = 116; 40.9°, I = 92

Cell and atoms:
```
data_Rb2SrAcF6
_chemical_formula_sum 'Rb2 Sr1 Ac1 F6'
_symmetry_space_group_name_H-M 'P 1'
_symmetry_Int_Tables_number 1
_cell_length_a 6.9708
_cell_length_b 6.9708
_cell_length_c 6.9708
_cell_angle_alpha 60.00
_cell_angle_beta 60.00
_cell_angle_gamma 60.00
loop_
_symmetry_equiv_pos_as_xyz
'x,y,z'
loop_
_atom_site_label
_atom_site_type_symbol
_atom_site_fract_x
_atom_site_fract_y
_atom_site_fract_z
Rb1 Rb 0.2500 0.2500 0.2500
Rb2 Rb 0.7500 0.7500 0.7500
Sr1 Sr 0.0000 0.0000 0.0000
Ac1 Ac 0.5000 0.5000 0.5000
F1 F 0.2514 0.2514 0.7486
F2 F 0.2514 0.7486 0.2514
F3 F 0.2514 0.7486 0.7486
F4 F 0.7486 0.2514 0.2514
F5 F 0.7486 0.2514 0.7486
F6 F 0.7486 0.7486 0.2514
```

[2]
For Ac4Rh2F, a DFT-relaxed cell (GGA-PBE, Alexandria) gives the theoretical PXRD pattern in this record (λ = 1.5418 Å (Cu Kα)).
Peak positions follow from Bragg's law for the DFT cell and can differ from measured ones.

The 10 most intense peaks (2θ = 10–80°), most intense first:
26.7°, I = 1000; 34.1°, I = 593; 34.3°, I = 409; 49.1°, I = 298; 56.7°, I = 265; 49.0°, I = 216; 33.9°, I = 183; 71.9°, I = 165; 72.2°, I = 124; 23.6°, I = 119

Cell and atoms:
```
data_Ac4Rh2F
_chemical_formula_sum 'Ac4 Rh2 F1'
_symmetry_space_group_name_H-M 'P 1'
_symmetry_Int_Tables_number 1
_cell_length_a 8.4104
_cell_length_b 8.4104
_cell_length_c 8.4104
_cell_angle_alpha 143.57
_cell_angle_beta 143.57
_cell_angle_gamma 52.46
loop_
_symmetry_equiv_pos_as_xyz
'x,y,z'
loop_
_atom_site_label
_atom_site_type_symbol
_atom_site_fract_x
_atom_site_fract_y
_atom_site_fract_z
Ac1 Ac 0.0000 0.5000 0.5000
Ac2 Ac 0.2047 0.2047 0.0000
Ac3 Ac 0.5000 0.0000 0.5000
Ac4 Ac 0.7953 0.7953 0.0000
Rh1 Rh 0.3902 0.3902 0.0000
Rh2 Rh 0.6098 0.6098 0.0000
F1 F 0.0000 0.0000 0.0000
```

Number 1 is which compound? Rb2SrAcF6